SrMg6NiO8: theoretical powder diffraction line list (Cu Kα X-rays), based on a structure optimized by DFT (GGA+U).

Most intense lines, 5° ≤ 2θ ≤ 70°, low angle first:
| d (Å) | I_rel | h k l |
| --- | --- | --- |
| 4.482 | 34 | 1 0 0 |
| 4.348 | 17 | 0 0 2 |
| 3.169 | 14 | 1 1 0 |
| 3.121 | 29 | 1 0 2 |
| 2.561 | 48 | 1 1 2 |
| 2.241 | 100 | 2 0 0 |
| 2.174 | 43 | 0 0 4 |
| 1.992 | 8 | 2 0 2 |
| 1.820 | 12 | 2 1 2 |
| 1.585 | 30 | 2 2 0 |
| 1.560 | 54 | 2 0 4 |
| 1.348 | 16 | 3 1 2 |

Cell and atoms:
```
SrMg6NiO8
1.0
4.482 0.000 0.000
0.000 4.482 0.000
0.000 0.000 8.695
Sr Mg Ni O
1 6 1 8
Cartesian
0.000 0.000 0.000 Sr
0.000 2.241 2.278 Mg
0.000 2.241 6.418 Mg
2.241 0.000 2.278 Mg
2.241 0.000 6.418 Mg
2.241 2.241 0.000 Mg
2.241 2.241 4.348 Mg
0.000 0.000 4.348 Ni
0.000 0.000 2.372 O
0.000 0.000 6.323 O
0.000 2.241 0.000 O
0.000 2.241 4.348 O
2.241 0.000 0.000 O
2.241 0.000 4.348 O
2.241 2.241 2.191 O
2.241 2.241 6.504 O
```